For CePHPt, DFT lattice parameters and positions (GGA-PBE) gives the calculated PXRD pattern in this record (Cu Kα X-rays).
Neutral-atom scattering factors, no anomalous dispersion.

Crystal structure
```
CePHPt
1.0
4.2196 0.0000 0.0000
-2.1098 3.6543 0.0000
0.0000 0.0000 3.9554
Ce P H Pt
1 1 1 1
direct
0.0000 0.0000 0.0000 Ce
0.6667 0.3333 0.4976 P
0.3333 0.6667 0.9991 H
0.3333 0.6667 0.5018 Pt
```

Principal peaks in the range 10 to 90 degrees two-theta, by intensity:
33.38 deg, rel. 100, (1 0 1)
42.86 deg, rel. 41, (1 1 0)
24.36 deg, rel. 27, (1 0 0)
64.59 deg, rel. 24, (1 1 2)
55.39 deg, rel. 24, (0 2 1)
72.48 deg, rel. 22, (2 1 1)
45.89 deg, rel. 11, (0 0 2)
76.87 deg, rel. 9, (1 0 3)
52.62 deg, rel. 7, (0 1 2)
78.53 deg, rel. 7, (3 0 0)